Record 1
Calculated X-ray powder pattern of LiSn3SbP6O24 for CuKα, from a crystal structure in Alexandria, relaxed with PBE.
Lines closer than 0.1° are merged.

Principal peaks in the range 15° ≤ 2θ ≤ 90°, most intense first:
d_spacing	I (rel.)
4.501	100
4.254	75
2.830	67
3.092	59
3.710	44
2.501	32
2.456	30
1.761	28
1.855	21
1.608	20

Cell and atoms:
```
35
Lattice="4.2540 2.4560 7.5795 -4.2540 2.4560 7.5795 0.0000 -4.9121 7.5795" Properties=species:S:1:pos:R:3 pbc="T T T"
Li 0.0000 0.0000 0.0000
Sn 0.0000 0.0000 2.9791
Sn 0.0000 0.0000 7.6580
Sn 0.0000 0.0000 19.1075
Sb 0.0000 0.0000 14.3928
P -3.0688 -0.3098 9.0898
P -1.2400 -2.7611 12.9357
P 1.8027 -2.5028 9.0898
P -1.7712 2.4544 12.9357
P 1.2662 2.8126 9.0898
P 3.0112 0.3067 12.9357
O -3.3772 1.2108 9.1182
O -2.6743 -2.2003 12.8301
O -0.3181 -1.6584 6.4822
O -1.5908 -0.5848 8.8043
O -0.7422 -3.3272 11.5949
O -1.2772 1.1047 6.4822
O 0.6400 -3.5301 9.1182
O -2.5103 2.3064 11.5949
O -0.2417 -1.5927 13.2432
O -1.5315 -0.5999 15.5175
O 1.3019 -1.0852 8.8043
O -1.2585 1.0057 13.2432
O 1.5953 0.5537 6.4822
O 0.2889 1.6700 8.8043
O -1.7148 -0.0473 18.0067
O -0.5684 3.4162 12.8300
O 1.2853 -1.0264 15.5175
O 0.8984 -1.4614 18.0067
O 1.5002 0.5870 13.2432
O 0.2462 1.6263 15.5175
O 3.2427 -1.2159 12.8300
O 2.7372 2.3193 9.1182
O 3.2525 1.0208 11.5949
O 0.8164 1.5087 18.0067
```

Record 2
Calculated X-ray powder pattern of Ca2La5Er for CuKα, from a crystal structure in Alexandria, relaxed with PBE.
Lines closer than 0.1° are merged.

Principal peaks in the range 15° ≤ 2θ ≤ 90°, most intense first:
d_spacing	I (rel.)
3.061	100
2.620	33
1.585	28
1.886	23
2.717	17
1.627	13
1.853	12
1.531	12
2.590	11
1.223	10

Cell and atoms:
```
16
Lattice="5.2397 0.0000 0.0000 0.0000 5.2397 0.0000 0.0000 0.0000 21.7350" Properties=species:S:1:pos:R:3 pbc="T T T"
Ca 0.0000 0.0000 5.4202
Ca 0.0000 0.0000 16.3148
Ca 2.6198 2.6198 5.4473
Ca 2.6198 2.6198 16.2877
La 0.0000 0.0000 0.0000
La 0.0000 2.6198 2.5438
La 0.0000 2.6198 8.3237
La 0.0000 2.6198 13.4113
La 0.0000 2.6198 19.1912
La 2.6198 0.0000 2.5438
La 2.6198 0.0000 8.3237
La 2.6198 0.0000 13.4113
La 2.6198 0.0000 19.1912
La 2.6198 2.6198 10.8675
Er 0.0000 0.0000 10.8675
Er 2.6198 2.6198 0.0000
```